Record 1
This entry pairs a crystal structure of MgFeGe2O6 with its theoretical XRD peak list. Radiation: CuKα. Structure: a structure optimized by DFT (PBE+U).
No peak broadening, texture or thermal motion is included.

The 12 most intense peaks (2θ from 5° to 70°), in order of rising 2θ:
(hkl), d_spacing, 2θ (°), I_rel
0 2 0, 4.587, 19.35, 21
1 2 -1, 3.446, 25.86, 35
1 2 1, 3.103, 28.77, 100
3 1 0, 3.024, 29.54, 74
0 0 2, 2.648, 33.86, 29
2 0 -2, 2.609, 34.37, 44
3 2 -1, 2.571, 34.89, 39
1 2 -3, 1.690, 54.29, 15
4 3 1, 1.678, 54.70, 27
3 5 0, 1.592, 57.92, 15
0 6 0, 1.529, 60.54, 16
6 3 -1, 1.453, 64.09, 25

Structural model:
Cell: 9.922 9.176 5.465 Å, 90.00 104.44 90.00°
Space group P2_1/c (No. 14)
Symmetry-distinct sites (fractional):
Mg 0.243 0.012 0.448
Fe 0.246 0.655 0.455
Ge 0.055 0.161 0.822
Ge 0.458 0.156 0.250
O 0.109 0.179 0.167
O 0.129 0.661 0.751
O 0.140 0.018 0.724
O 0.361 0.653 0.172
O 0.367 0.507 0.697
O 0.388 0.209 0.514

Record 2
This entry pairs a crystal structure of NaFeGe2O6 with its theoretical XRD peak list. Radiation: CuKα. Structure: a structure optimized by DFT (PBE+U).
No peak broadening, texture or thermal motion is included.

The 12 most intense peaks (2θ from 5° to 70°), in order of rising 2θ:
(hkl), d_spacing, 2θ (°), I_rel
1 1 -1, 4.648, 19.09, 21
0 2 0, 4.517, 19.65, 22
0 2 1, 3.445, 25.86, 23
2 2 -1, 3.115, 28.66, 100
3 1 0, 3.047, 29.31, 60
0 0 2, 2.663, 33.65, 45
1 3 -1, 2.633, 34.06, 22
2 2 1, 2.579, 34.79, 53
2 2 -3, 1.722, 53.21, 23
5 3 -1, 1.686, 54.41, 22
1 3 -3, 1.577, 58.55, 21
5 3 1, 1.459, 63.81, 14

Structural model:
Cell: 10.196 9.035 5.594 Å, 90.00 107.81 90.00°
Space group C2/c (No. 15)
Symmetry-distinct sites (fractional):
Na 0.000 0.200 0.250
Fe 0.000 0.403 0.750
Ge 0.213 0.093 0.774
O 0.105 0.420 0.129
O 0.139 0.005 0.985
O 0.141 0.269 0.702